(1)
The following is a simulated PXRD pattern of RbTbIO6. It was derived from a structure optimized by DFT (GGA-PBE), using Cu Kα.
Peak positions follow from Bragg's law for the DFT cell and can differ from measured ones.

Most intense lines, 2θ from 10° to 80°, sorted by position:
Position (°2θ)  d/Å  intensity  hkl
14.55  6.090  51  0 0 1
23.04  3.860  100  1 0 1
29.33  3.045  15  0 0 2
31.04  2.882  45  1 1 0
34.44  2.604  25  2 -1 1
39.01  2.309  21  2 0 1
43.23  2.093  52  2 -1 2
50.66  1.802  23  3 -1 1

a b c (Å): 5.7631 5.7631 6.0896
angles (deg): 90.00 90.00 120.00
Space group P312 (No. 149)
One atom of each set of equivalent atoms:
Rb 0.0000 0.0000 0.0000 x1
Tb 0.3333 0.6667 0.5000 x1
I 0.6667 0.3333 0.5000 x1
O 0.4108 0.0502 0.6786 x6



(2)
The following is a simulated PXRD pattern of RbTeI2O8. It was derived from a structure optimized by DFT (GGA-PBE), using Cu Kα.
Peak positions follow from Bragg's law for the DFT cell and can differ from measured ones.

Most intense lines, 2θ from 10° to 80°, sorted by position:
Position (°2θ)  d/Å  intensity  hkl
14.15  6.260  40  0 0 1
24.20  3.678  100  1 1 1
27.33  3.264  34  2 0 -2
28.11  3.174  80  3 1 -1
30.76  2.907  33  0 2 0
41.61  2.171  17  2 2 -2
45.58  1.990  20  4 2 0
51.04  1.789  15  5 1 -3

a b c (Å): 11.692 5.814 6.700
angles (deg): 90.00 110.89 90.00
Space group C2/m (No. 12)
One atom of each set of equivalent atoms:
Rb 0.000 0.000 0.000 x2
Te 0.000 0.500 0.500 x2
I 0.224 0.000 0.684 x4
O 0.094 0.500 0.296 x4
O 0.116 0.250 0.706 x8
O 0.177 0.000 0.399 x4



(3)
The following is a simulated PXRD pattern of Rb2TlIO. It was derived from a structure optimized by DFT (GGA-PBE), using Cu Kα.
Peak positions follow from Bragg's law for the DFT cell and can differ from measured ones.

Most intense lines, 2θ from 10° to 80°, sorted by position:
Position (°2θ)  d/Å  intensity  hkl
27.66  3.225  100  1 1 1
30.60  2.921  44  2 0 0
34.77  2.580  16  0 0 2
43.83  2.066  16  2 2 0
46.99  1.934  27  2 0 2
52.62  1.739  34  3 1 1
57.12  1.613  15  2 2 2
58.09  1.588  13  1 1 3

a b c (Å): 5.843 5.843 5.160
angles (deg): 90.00 90.00 90.00
Space group P4/mmm (No. 123)
One atom of each set of equivalent atoms:
Rb 0.000 0.500 0.000 x2
Tl 0.000 0.000 0.500 x1
I 0.500 0.500 0.500 x1
O 0.000 0.000 0.000 x1